Diffraction record for Li4Nb3Fe3Sb2O16. The powder XRD pattern is computed, not measured: it uses a structure optimized by DFT (GGA+U) and Cu Kα.
No peak broadening, texture or thermal motion is included.

Structure:
abc: 6.143 6.153 10.478
angles: 90.33 90.25 118.60
Space group P1 (No. 1)
Inequivalent atoms, fractional coordinates:
Li (0.000, 0.000, 0.000) [1 per cell]
Li (0.001, 0.001, 0.519) [1 per cell]
Li (0.350, 0.680, 0.906) [1 per cell]
Li (0.681, 0.337, 0.411) [1 per cell]
Nb (0.172, 0.804, 0.222) [1 per cell]
Nb (0.684, 0.833, 0.242) [1 per cell]
Nb (0.822, 0.644, 0.744) [1 per cell]
Fe (0.181, 0.331, 0.219) [1 per cell]
Fe (0.340, 0.167, 0.732) [1 per cell]
Fe (0.833, 0.169, 0.731) [1 per cell]
Sb (0.321, 0.651, 0.539) [1 per cell]
Sb (0.646, 0.286, 0.008) [1 per cell]
O (0.005, 0.988, 0.333) [1 per cell]
O (0.027, 0.527, 0.332) [1 per cell]
O (0.142, 0.311, 0.627) [1 per cell]
O (0.149, 0.825, 0.618) [1 per cell]
O (0.309, 0.123, 0.104) [1 per cell]
O (0.362, 0.689, 0.116) [1 per cell]
O (0.499, 0.982, 0.330) [1 per cell]
O (0.521, 0.519, 0.320) [1 per cell]
O (0.535, 0.513, 0.849) [1 per cell]
O (0.537, 0.042, 0.852) [1 per cell]
O (0.680, 0.848, 0.626) [1 per cell]
O (0.692, 0.350, 0.624) [1 per cell]
O (0.838, 0.132, 0.113) [1 per cell]
O (0.870, 0.712, 0.120) [1 per cell]
O (0.980, 0.992, 0.820) [1 per cell]
O (0.988, 0.498, 0.841) [1 per cell]

Top 10 peaks for 2θ = 10–90°, in order of falling intensity:
2θ/deg, d [Å], I_rel, hkl
18.6, 4.783, 100, 0 1 1
16.9, 5.239, 88, 0 0 2
34.2, 2.619, 73, 0 2 -1
30.6, 2.918, 65, 1 -1 3
18.8, 4.720, 60, -1 1 1
30.4, 2.944, 58, 1 0 -3
33.2, 2.701, 53, 1 1 -2
33.9, 2.645, 49, 2 -1 2
35.0, 2.563, 48, 2 -2 1
33.7, 2.656, 43, 1 -2 2